# Zn7GeN6
Computed powder X-ray diffraction pattern, Cu Kα (weighted mean of Kα1 and Kα2). Input: a DFT-relaxed cell (GGA-PBE, the Materials Project).
Neutral-atom scattering factors, no anomalous dispersion.

The 10 most intense peaks (10 to 90 degrees two-theta), most intense first:
hkl	d/Å	I_rel
2 2 1	2.474	100
2 0 4	2.692	92
1 0 4	3.000	83
4 0 0	2.639	73
3 1 3	2.436	47
0 2 3	2.366	43
2 2 2	2.340	41
0 2 2	2.611	36
4 1 1	2.355	30
3 1 1	2.918	29

Unit cell a=10.556 b=5.746 c=12.517 alpha=90.00 beta=90.00 gamma=90.00
Space group Pbcn (No. 60)
One atom of each set of equivalent atoms:
Zn1 0.000 0.077 0.250 [4 per cell]
Zn2 0.030 0.253 0.043 [8 per cell]
Zn3 0.206 0.180 0.574 [8 per cell]
Zn4 0.240 0.152 0.844 [8 per cell]
Ge1 0.000 0.413 0.750 [4 per cell]
N1 0.070 0.363 0.345 [8 per cell]
N2 0.128 0.195 0.717 [8 per cell]
N3 0.176 0.112 0.991 [8 per cell]

=====

# GaMo3S6
Computed powder X-ray diffraction pattern, Cu Kα (weighted mean of Kα1 and Kα2). Input: a DFT-relaxed cell (GGA-PBE, the Materials Project).
Neutral-atom scattering factors, no anomalous dispersion.

The 10 most intense peaks (10 to 90 degrees two-theta), most intense first:
hkl	d/Å	I_rel
2 3 1	2.992	100
3 0 3	1.910	81
4 0 0	1.754	76
1 0 1	5.729	74
2 6 0	2.481	71
2 0 4	2.025	41
0 0 2	4.961	30
1 6 3	2.276	29
2 0 0	3.508	27
0 6 8	1.169	25

Unit cell a=7.019 b=21.037 c=9.923 alpha=90.00 beta=90.00 gamma=90.00
Space group Imm2 (No. 44)
One atom of each set of equivalent atoms:
Ga1 0.000 0.000 0.000 [2 per cell]
Ga2 0.000 0.167 0.252 [4 per cell]
Ga3 0.000 0.500 0.250 [2 per cell]
Mo1 0.000 0.100 0.645 [4 per cell]
Mo2 0.000 0.234 0.651 [4 per cell]
Mo3 0.000 0.429 0.652 [4 per cell]
Mo4 0.201 0.500 0.859 [4 per cell]
Mo5 0.207 0.169 0.852 [8 per cell]
S1 0.000 0.076 0.387 [4 per cell]
S2 0.000 0.085 0.874 [4 per cell]
S3 0.000 0.256 0.884 [4 per cell]
S4 0.000 0.257 0.388 [4 per cell]
S5 0.000 0.409 0.387 [4 per cell]
S6 0.000 0.411 0.887 [4 per cell]
S7 0.228 0.000 0.615 [4 per cell]
S8 0.228 0.333 0.616 [8 per cell]
S9 0.234 0.333 0.118 [8 per cell]
S10 0.248 0.500 0.630 [4 per cell]

=====

# K2MgP2
Computed powder X-ray diffraction pattern, Cu Kα (weighted mean of Kα1 and Kα2). Input: a DFT-relaxed cell (GGA-PBE, the Materials Project).
Neutral-atom scattering factors, no anomalous dispersion.

The 10 most intense peaks (10 to 90 degrees two-theta), most intense first:
hkl	d/Å	I_rel
1 0 0	3.494	100
1 1 0	2.470	36
1 0 6	2.037	28
1 0 4	2.560	20
1 1 6	1.760	17
0 0 4	3.762	16
2 1 0	1.562	15
0 0 6	2.508	13
2 1 6	1.326	12
2 0 0	1.747	11

Unit cell a=3.494 b=3.494 c=15.047 alpha=90.00 beta=90.00 gamma=90.00
Space group P4/mmm (No. 123)
One atom of each set of equivalent atoms:
K1 0.000 0.000 0.146 [2 per cell]
Mg1 0.000 0.000 0.500 [1 per cell]
P1 0.000 0.000 0.341 [2 per cell]

=====

# KHfSnBiO6
Computed powder X-ray diffraction pattern, Cu Kα (weighted mean of Kα1 and Kα2). Input: a DFT-relaxed cell (GGA-PBE, the Materials Project).
Neutral-atom scattering factors, no anomalous dispersion.

The 10 most intense peaks (10 to 90 degrees two-theta), most intense first:
hkl	d/Å	I_rel
2 2 0	2.906	100
4 2 2	1.678	41
4 0 0	2.055	29
1 1 1	4.746	25
6 4 2	1.098	23
4 4 0	1.453	19
6 2 0	1.300	18
3 1 1	2.478	15
3 3 1	1.886	7
4 4 4	1.186	6

Unit cell a=8.220 b=8.220 c=8.220 alpha=90.00 beta=90.00 gamma=90.00
Space group F-43m (No. 216)
One atom of each set of equivalent atoms:
K1 0.000 0.000 0.000 [4 per cell]
Hf1 0.250 0.250 0.250 [4 per cell]
Sn1 0.250 0.250 0.750 [4 per cell]
Bi1 0.000 0.000 0.500 [4 per cell]
O1 0.000 0.250 0.250 [24 per cell]

=====

# K2RbNbF6
Computed powder X-ray diffraction pattern, Cu Kα (weighted mean of Kα1 and Kα2). Input: a DFT-relaxed cell (GGA-PBE, the Materials Project).
Neutral-atom scattering factors, no anomalous dispersion.

The 10 most intense peaks (10 to 90 degrees two-theta), most intense first:
hkl	d/Å	I_rel
2 2 0	3.348	100
4 0 0	2.367	50
2 0 0	4.735	45
4 2 2	1.933	37
4 4 0	1.674	29
6 4 2	1.265	21
6 2 0	1.497	20
4 2 0	2.118	19
6 6 0	1.116	10
6 0 0	1.578	9

Unit cell a=9.470 b=9.470 c=9.470 alpha=90.00 beta=90.00 gamma=90.00
Space group Fm-3m (No. 225)
One atom of each set of equivalent atoms:
K1 0.250 0.250 0.250 [8 per cell]
Rb1 0.000 0.000 0.000 [4 per cell]
Nb1 0.000 0.000 0.500 [4 per cell]
F1 0.000 0.000 0.278 [24 per cell]

=====

# Zr3Al2
Computed powder X-ray diffraction pattern, Cu Kα (weighted mean of Kα1 and Kα2). Input: a DFT-relaxed cell (GGA-PBE, the Materials Project).
Neutral-atom scattering factors, no anomalous dispersion.

The 10 most intense peaks (10 to 90 degrees two-theta), most intense first:
hkl	d/Å	I_rel
2 0 2	2.587	100
2 1 2	2.451	99
3 1 0	2.426	73
2 1 0	3.431	38
2 2 0	2.712	38
1 1 2	2.943	37
3 3 2	1.607	27
3 1 4	1.420	23
4 1 2	1.643	21
4 1 0	1.860	18

Unit cell a=7.671 b=7.671 c=7.007 alpha=90.00 beta=90.00 gamma=90.00
Space group P4_2/mnm (No. 136)
One atom of each set of equivalent atoms:
Zr1 0.000 0.500 0.250 [4 per cell]
Zr2 0.157 0.157 0.000 [4 per cell]
Zr3 0.199 0.199 0.500 [4 per cell]
Al1 0.121 0.879 0.287 [8 per cell]

=====

# CeMgZr7O16
Computed powder X-ray diffraction pattern, Cu Kα (weighted mean of Kα1 and Kα2). Input: a DFT-relaxed cell (GGA-PBE, the Materials Project).
Neutral-atom scattering factors, no anomalous dispersion.

The 10 most intense peaks (10 to 90 degrees two-theta), most intense first:
hkl	d/Å	I_rel
0 2 1	3.193	100
2 0 1	3.029	89
2 2 2	1.927	50
2 2 0	2.627	31
0 0 2	2.837	21
4 2 1	1.562	21
2 4 1	1.629	19
0 4 0	1.931	19
4 0 0	1.791	17
2 0 3	1.673	13

Unit cell a=7.164 b=7.726 c=5.673 alpha=90.00 beta=90.00 gamma=90.00
Space group Pmm2 (No. 25)
One atom of each set of equivalent atoms:
Ce1 0.000 0.000 0.000 [1 per cell]
Mg1 0.500 0.000 0.346 [1 per cell]
Zr1 0.000 0.500 0.946 [1 per cell]
Zr2 0.232 0.284 0.497 [4 per cell]
Zr3 0.500 0.000 0.863 [1 per cell]
Zr4 0.500 0.500 0.007 [1 per cell]
O1 0.000 0.219 0.297 [2 per cell]
O2 0.000 0.259 0.777 [2 per cell]
O3 0.232 0.500 0.207 [2 per cell]
O4 0.261 0.500 0.724 [2 per cell]
O5 0.283 0.000 0.589 [2 per cell]
O6 0.296 0.000 0.111 [2 per cell]
O7 0.500 0.268 0.825 [2 per cell]
O8 0.500 0.274 0.346 [2 per cell]

=====

Copy entry 5 word for word.
# K2RbNbF6
Computed powder X-ray diffraction pattern, Cu Kα (weighted mean of Kα1 and Kα2). Input: a DFT-relaxed cell (GGA-PBE, the Materials Project).
Neutral-atom scattering factors, no anomalous dispersion.

The 10 most intense peaks (10 to 90 degrees two-theta), most intense first:
hkl	d/Å	I_rel
2 2 0	3.348	100
4 0 0	2.367	50
2 0 0	4.735	45
4 2 2	1.933	37
4 4 0	1.674	29
6 4 2	1.265	21
6 2 0	1.497	20
4 2 0	2.118	19
6 6 0	1.116	10
6 0 0	1.578	9

Unit cell a=9.470 b=9.470 c=9.470 alpha=90.00 beta=90.00 gamma=90.00
Space group Fm-3m (No. 225)
One atom of each set of equivalent atoms:
K1 0.250 0.250 0.250 [8 per cell]
Rb1 0.000 0.000 0.000 [4 per cell]
Nb1 0.000 0.000 0.500 [4 per cell]
F1 0.000 0.000 0.278 [24 per cell]